Computed powder X-ray diffraction pattern
Compound: KCrNiF6
Radiation: Cu Kα, 1.54184 Å
Structure: a structure optimized by DFT (GGA+U)
Kinematic intensities with the Lorentz-polarization factor, no thermal factor.

Top 10 peaks for 15° ≤ 2θ ≤ 90°, low angle first:
| two_theta | d_spacing | intensity |
| --- | --- | --- |
| 28.48 | 3.134 | 51 |
| 28.59 | 3.122 | 100 |
| 29.85 | 2.993 | 72 |
| 45.46 | 1.995 | 39 |
| 49.72 | 1.834 | 64 |
| 49.91 | 1.827 | 12 |
| 58.94 | 1.567 | 9 |
| 59.19 | 1.561 | 18 |
| 69.45 | 1.353 | 10 |
| 69.74 | 1.348 | 16 |

Atomic structure:
```
data_KCrNiF6
_chemical_formula_sum 'K2 Cr2 Ni2 F12'
_space_group_name_H-M_alt 'P 1'
_space_group_IT_number 1
_cell_length_a 7.338
_cell_length_b 7.338
_cell_length_c 7.338
_cell_angle_alpha 120.25
_cell_angle_beta 120.10
_cell_angle_gamma 89.69
loop_
_space_group_symop_operation_xyz
'x,y,z'
loop_
_atom_site_label
_atom_site_fract_x
_atom_site_fract_y
_atom_site_fract_z
_atom_site_occupancy
K1 0.372 0.122 0.250 1
K2 0.628 0.878 0.750 1
Cr1 0.000 0.500 0.500 1
Cr2 0.500 0.500 0.000 1
Ni1 0.000 0.000 0.500 1
Ni2 0.000 0.500 0.000 1
F1 0.074 0.429 0.258 1
F2 0.074 0.815 0.644 1
F3 0.075 0.825 0.250 1
F4 0.319 0.569 0.750 1
F5 0.329 0.185 0.758 1
F6 0.329 0.571 0.144 1
F7 0.671 0.429 0.856 1
F8 0.671 0.815 0.242 1
F9 0.681 0.431 0.250 1
F10 0.925 0.175 0.750 1
F11 0.926 0.185 0.356 1
F12 0.926 0.571 0.742 1
```